For Sc2Zn3Pd2, a PBE-relaxed structure gives the simulated powder diffractogram in this record (λ = 1.5418 Å (Cu Kα)).

Structural model:
Cell: 9.155 4.236 6.609 Å, 90.00 110.04 90.00°
Space group C2/m (No. 12)
One atom of each set of equivalent atoms:
Sc: 0.143 0.000 0.267 [4 per cell]
Zn: 0.000 0.500 0.500 [2 per cell]
Zn: 0.119 0.500 0.937 [4 per cell]
Pd: 0.148 0.000 0.698 [4 per cell]

Most intense lines, 10° ≤ 2θ ≤ 90°, low angle first:
20.71°, I = 537, hkl 2 0 -1
36.48°, I = 356, hkl 3 1 -1
37.90°, I = 394, hkl 3 1 0
40.20°, I = 1000, hkl 1 1 2
40.77°, I = 540, hkl 3 1 -2
42.69°, I = 531, hkl 0 2 0



For Rb3NpO9, a PBE-relaxed structure gives the simulated powder diffractogram in this record (λ = 1.5418 Å (Cu Kα)).

Structural model:
Cell: 12.056 11.414 7.589 Å, 90.00 90.43 90.00°
Space group C2/c (No. 15)
One atom of each set of equivalent atoms:
Rb: 0.000 0.032 0.250 [4 per cell]
Rb: 0.159 0.405 0.458 [8 per cell]
Np: 0.250 0.250 0.000 [4 per cell]
O: 0.000 0.451 0.750 [4 per cell]
O: 0.018 0.202 0.542 [8 per cell]
O: 0.052 0.288 0.928 [8 per cell]
O: 0.204 0.192 0.220 [8 per cell]
O: 0.228 0.101 0.896 [8 per cell]

Most intense lines, 10° ≤ 2θ ≤ 90°, low angle first:
15.84°, I = 902, hkl 1 1 1
21.44°, I = 454, hkl 2 2 0
23.46°, I = 480, hkl 0 0 2
26.36°, I = 379, hkl 3 1 1
27.23°, I = 1000, hkl 1 3 -1
27.69°, I = 343, hkl 2 0 -2